# 1
Simulated powder XRD pattern of Mg2TaGaCo for Cu Kα (weighted mean of Kα1 and Kα2), from a PBE-relaxed structure.
No peak broadening, texture or thermal motion is included.

Main lines, sorted by position (10 to 90 degrees two-theta):
2θ = 16.07°, I 92, (1 0 0)
2θ = 22.80°, I 100, (1 1 0)
2θ = 26.22°, I 73, (1 0 1)
2θ = 32.47°, I 80, (2 0 0)
2θ = 42.20°, I 42, (2 1 1)
2θ = 53.96°, I 37, (2 0 2)

Structural model:
```
data_Mg2TaGaCo
_cell_length_a 5.515
_cell_length_b 5.515
_cell_length_c 4.315
_cell_angle_alpha 90.00
_cell_angle_beta 90.00
_cell_angle_gamma 90.00
_space_group_name_H-M_alt 'P 4/m m m'
_space_group_IT_number 123
_space_group_name_Hall '-P 4 2'
loop_
_atom_site_label
_atom_site_type_symbol
_atom_site_fract_x
_atom_site_fract_y
_atom_site_fract_z
Mg1 Mg 0.000 0.500 0.000
Ta1 Ta 0.000 0.000 0.000
Ga1 Ga 0.500 0.500 0.500
Co1 Co 0.000 0.000 0.500
```


# 2
Simulated powder XRD pattern of Mn2GaCo2 for Cu Kα (weighted mean of Kα1 and Kα2), from a PBE-relaxed structure.
No peak broadening, texture or thermal motion is included.

Main lines, sorted by position (10 to 90 degrees two-theta):
2θ = 37.97°, I 14, (2 2 0)
2θ = 42.65°, I 75, (3 1 0)
2θ = 42.89°, I 30, (2 0 1)
2θ = 45.07°, I 100, (2 1 1)
2θ = 84.87°, I 18, (3 1 2)
2θ = 85.91°, I 14, (5 2 1)

Structural model:
```
data_Mn2GaCo2
_cell_length_a 6.703
_cell_length_b 6.703
_cell_length_c 2.713
_cell_angle_alpha 90.00
_cell_angle_beta 90.00
_cell_angle_gamma 90.00
_space_group_name_H-M_alt 'P 4/m b m'
_space_group_IT_number 127
_space_group_name_Hall '-P 4 2ab'
loop_
_atom_site_label
_atom_site_type_symbol
_atom_site_fract_x
_atom_site_fract_y
_atom_site_fract_z
Mn1 Mn 0.167 0.333 0.000
Ga1 Ga 0.000 0.000 0.500
Co1 Co 0.129 0.629 0.500
```


# 3
Simulated powder XRD pattern of Ti5Mn2Ga2Co for Cu Kα (weighted mean of Kα1 and Kα2), from a PBE-relaxed structure.
No peak broadening, texture or thermal motion is included.

Main lines, sorted by position (10 to 90 degrees two-theta):
2θ = 37.06°, I 36, (4 1 0)
2θ = 38.18°, I 18, (3 3 0)
2θ = 39.31°, I 13, (2 2 1)
2θ = 40.33°, I 19, (4 2 0)
2θ = 41.41°, I 100, (3 1 1)
2θ = 44.41°, I 24, (3 2 1)

Structural model:
```
data_Ti5Mn2Ga2Co
_cell_length_a 10.001
_cell_length_b 10.001
_cell_length_c 3.010
_cell_angle_alpha 90.00
_cell_angle_beta 90.00
_cell_angle_gamma 90.00
_space_group_name_H-M_alt 'P 4/m b m'
_space_group_IT_number 127
_space_group_name_Hall '-P 4 2ab'
loop_
_atom_site_label
_atom_site_type_symbol
_atom_site_fract_x
_atom_site_fract_y
_atom_site_fract_z
Ti1 Ti 0.000 0.500 0.000
Ti2 Ti 0.075 0.193 0.000
Mn1 Mn 0.135 0.365 0.500
Ga1 Ga 0.171 0.671 0.500
Co1 Co 0.000 0.000 0.500
```


# 4
Simulated powder XRD pattern of MnV2Ga2Co3 for Cu Kα (weighted mean of Kα1 and Kα2), from a PBE-relaxed structure.
No peak broadening, texture or thermal motion is included.

Main lines, sorted by position (10 to 90 degrees two-theta):
2θ = 26.85°, I 2, (1 1 1)
2θ = 44.55°, I 100, (2 2 0)
2θ = 52.79°, I 1, (3 1 1)
2θ = 64.84°, I 15, (4 0 0)
2θ = 71.50°, I 1, (3 3 1)
2θ = 82.08°, I 29, (4 2 2)

Structural model:
```
data_MnV2Ga2Co3
_cell_length_a 5.752
_cell_length_b 5.752
_cell_length_c 5.752
_cell_angle_alpha 90.00
_cell_angle_beta 90.00
_cell_angle_gamma 90.00
_space_group_name_H-M_alt 'P n -3 m'
_space_group_IT_number 224
loop_
_space_group_symop_operation_xyz
'x,y,z'
'-x,-y,-z'
'-y,x+1/2,z+1/2'
'y,-x+1/2,-z+1/2'
'-x+1/2,-y+1/2,z'
'x+1/2,y+1/2,-z'
'y+1/2,-x,z+1/2'
'-y+1/2,x,-z+1/2'
'x,-y+1/2,-z+1/2'
'-x,y+1/2,z+1/2'
'-y,-x,-z'
'y,x,z'
'-x+1/2,y,-z+1/2'
'x+1/2,-y,z+1/2'
'y+1/2,x+1/2,-z'
'-y+1/2,-x+1/2,z'
'z,x,y'
'-z,-x,-y'
'z+1/2,-y,x+1/2'
'-z+1/2,y,-x+1/2'
'z,-x+1/2,-y+1/2'
'-z,x+1/2,y+1/2'
'z+1/2,y+1/2,-x'
'-z+1/2,-y+1/2,x'
'-z+1/2,x,-y+1/2'
'z+1/2,-x,y+1/2'
'-z,-y,-x'
'z,y,x'
'-z+1/2,-x+1/2,y'
'z+1/2,x+1/2,-y'
'-z,y+1/2,x+1/2'
'z,-y+1/2,-x+1/2'
'y,z,x'
'-y,-z,-x'
'x+1/2,z+1/2,-y'
'-x+1/2,-z+1/2,y'
'-y+1/2,z,-x+1/2'
'y+1/2,-z,x+1/2'
'-x,z+1/2,y+1/2'
'x,-z+1/2,-y+1/2'
'-y+1/2,-z+1/2,x'
'y+1/2,z+1/2,-x'
'-x,-z,-y'
'x,z,y'
'y,-z+1/2,-x+1/2'
'-y,z+1/2,x+1/2'
'x+1/2,-z,y+1/2'
'-x+1/2,z,-y+1/2'
loop_
_atom_site_label
_atom_site_type_symbol
_atom_site_fract_x
_atom_site_fract_y
_atom_site_fract_z
Mn1 Mn 0.250 0.250 0.250
V1 V 0.000 0.000 0.000
Ga1 Ga 0.000 0.000 0.500
Co1 Co 0.250 0.250 0.750
```


# 5
Simulated powder XRD pattern of MnVGaCo for Cu Kα (weighted mean of Kα1 and Kα2), from a PBE-relaxed structure.
No peak broadening, texture or thermal motion is included.

Main lines, sorted by position (10 to 90 degrees two-theta):
2θ = 26.87°, I 2, (1 1 1)
2θ = 44.59°, I 100, (2 2 0)
2θ = 52.83°, I 1, (3 1 1)
2θ = 64.89°, I 15, (4 0 0)
2θ = 71.56°, I 1, (3 3 1)
2θ = 82.16°, I 29, (4 2 2)

Structural model:
```
data_MnVGaCo
_cell_length_a 5.748
_cell_length_b 5.748
_cell_length_c 5.748
_cell_angle_alpha 90.00
_cell_angle_beta 90.00
_cell_angle_gamma 90.00
_space_group_name_H-M_alt 'P -4 3 m'
_space_group_IT_number 215
_space_group_name_Hall 'P -4 2 3'
loop_
_atom_site_label
_atom_site_type_symbol
_atom_site_fract_x
_atom_site_fract_y
_atom_site_fract_z
Mn1 Mn 0.000 0.000 0.000
Mn2 Mn 0.000 0.000 0.500
V1 V 0.243 0.243 0.757
Ga1 Ga 0.254 0.254 0.254
Co1 Co 0.000 0.500 0.500
Co2 Co 0.500 0.500 0.500
```


# 6
Simulated powder XRD pattern of Nb2Ga3Co4 for Cu Kα (weighted mean of Kα1 and Kα2), from a PBE-relaxed structure.
No peak broadening, texture or thermal motion is included.

Main lines, sorted by position (10 to 90 degrees two-theta):
2θ = 38.91°, I 95, (1 5 1)
2θ = 40.39°, I 46, (2 2 1)
2θ = 41.14°, I 41, (0 2 3)
2θ = 44.66°, I 100, (2 0 2)
2θ = 46.73°, I 44, (0 6 2)
2θ = 78.55°, I 39, (2 6 4)

Structural model:
```
data_Nb2Ga3Co4
_cell_length_a 5.006
_cell_length_b 14.092
_cell_length_c 6.927
_cell_angle_alpha 90.00
_cell_angle_beta 90.00
_cell_angle_gamma 90.00
_space_group_name_H-M_alt 'C m c e'
_space_group_IT_number 64
_space_group_name_Hall '-C 2ac 2'
loop_
_atom_site_label
_atom_site_type_symbol
_atom_site_fract_x
_atom_site_fract_y
_atom_site_fract_z
Nb1 Nb 0.000 0.095 0.097
Ga1 Ga 0.000 0.000 0.500
Ga2 Ga 0.250 0.241 0.750
Co1 Co 0.000 0.170 0.489
Co2 Co 0.250 0.068 0.750
```


Copy entry 5 word for word.
Simulated powder XRD pattern of MnVGaCo for Cu Kα (weighted mean of Kα1 and Kα2), from a PBE-relaxed structure.
No peak broadening, texture or thermal motion is included.

Main lines, sorted by position (10 to 90 degrees two-theta):
2θ = 26.87°, I 2, (1 1 1)
2θ = 44.59°, I 100, (2 2 0)
2θ = 52.83°, I 1, (3 1 1)
2θ = 64.89°, I 15, (4 0 0)
2θ = 71.56°, I 1, (3 3 1)
2θ = 82.16°, I 29, (4 2 2)

Structural model:
```
data_MnVGaCo
_cell_length_a 5.748
_cell_length_b 5.748
_cell_length_c 5.748
_cell_angle_alpha 90.00
_cell_angle_beta 90.00
_cell_angle_gamma 90.00
_space_group_name_H-M_alt 'P -4 3 m'
_space_group_IT_number 215
_space_group_name_Hall 'P -4 2 3'
loop_
_atom_site_label
_atom_site_type_symbol
_atom_site_fract_x
_atom_site_fract_y
_atom_site_fract_z
Mn1 Mn 0.000 0.000 0.000
Mn2 Mn 0.000 0.000 0.500
V1 V 0.243 0.243 0.757
Ga1 Ga 0.254 0.254 0.254
Co1 Co 0.000 0.500 0.500
Co2 Co 0.500 0.500 0.500
```